Record 1
For Li4Ti3Fe3Cu2O16, a crystal structure in Alexandria, relaxed with GGA+U gives the calculated PXRD pattern in this record (Cu Kα (weighted mean of Kα1 and Kα2)).
Peak positions follow from Bragg's law for the DFT cell and can differ from measured ones.

Structure:
```
Li4Ti3Fe3Cu2O16
1.0
5.140 -2.938 0.000
5.140 2.938 0.000
-0.134 0.000 9.606
Li Ti Fe Cu O
4 3 3 2 16
Direct
0.000 0.000 0.000
0.006 0.006 0.505
0.335 0.335 0.601
0.665 0.665 0.096
0.169 0.665 0.286
0.665 0.169 0.286
0.832 0.832 0.786
0.170 0.170 0.282
0.339 0.835 0.785
0.835 0.339 0.785
0.330 0.330 0.012
0.665 0.665 0.515
0.002 0.002 0.691
0.039 0.485 0.155
0.157 0.665 0.894
0.160 0.160 0.894
0.327 0.828 0.394
0.339 0.339 0.394
0.479 0.479 0.160
0.485 0.039 0.155
0.521 0.521 0.661
0.525 0.961 0.656
0.665 0.157 0.894
0.666 0.666 0.890
0.828 0.327 0.394
0.837 0.837 0.391
0.961 0.525 0.656
0.996 0.996 0.185
```

Peak list (10 most intense, 2θ = 5–70°, low angle first)
d = 4.803 Å, 2θ 18.47, I 794; d = 4.514 Å, 2θ 19.67, I 1000; d = 4.492 Å, 2θ 19.76, I 658; d = 2.533 Å, 2θ 35.43, I 386; d = 2.506 Å, 2θ 35.83, I 731; d = 2.471 Å, 2θ 36.36, I 398; d = 2.002 Å, 2θ 45.30, I 357; d = 1.989 Å, 2θ 45.61, I 464; d = 1.529 Å, 2θ 60.55, I 412; d = 1.480 Å, 2θ 62.79, I 483

=====

Record 2
For Li4Ti2Fe3Cu3O16, a crystal structure in Alexandria, relaxed with GGA+U gives the calculated PXRD pattern in this record (Cu Kα (weighted mean of Kα1 and Kα2)).
Peak positions follow from Bragg's law for the DFT cell and can differ from measured ones.

Structure:
```
Li4Ti2Fe3Cu3O16
1.0
5.812 0.000 0.000
2.876 5.127 0.000
0.016 0.453 9.534
Li Ti Fe Cu O
4 2 3 3 16
Direct
0.000 0.000 0.000
0.011 0.979 0.505
0.345 0.307 0.403
0.682 0.661 0.909
0.344 0.339 0.000
0.673 0.647 0.505
0.182 0.638 0.726
0.345 0.813 0.223
0.839 0.809 0.224
0.188 0.146 0.724
0.675 0.156 0.718
0.839 0.319 0.222
0.015 0.966 0.317
0.052 0.445 0.859
0.162 0.661 0.114
0.185 0.131 0.109
0.353 0.813 0.603
0.359 0.313 0.618
0.460 0.512 0.881
0.511 0.034 0.849
0.516 0.510 0.343
0.529 0.938 0.341
0.666 0.666 0.120
0.679 0.133 0.108
0.836 0.302 0.599
0.873 0.765 0.588
0.968 0.505 0.343
0.997 0.983 0.811
```

Peak list (10 most intense, 2θ = 5–70°, low angle first)
d = 4.767 Å, 2θ 18.61, I 1000; d = 4.510 Å, 2θ 19.68, I 356; d = 4.430 Å, 2θ 20.04, I 408; d = 4.412 Å, 2θ 20.13, I 194; d = 2.557 Å, 2θ 35.09, I 193; d = 2.464 Å, 2θ 36.47, I 208; d = 2.454 Å, 2θ 36.63, I 258; d = 2.001 Å, 2θ 45.32, I 301; d = 1.950 Å, 2θ 46.57, I 269; d = 1.540 Å, 2θ 60.09, I 213

=====

Record 3
For Li4Ti3Fe2Cu3O16, a crystal structure in Alexandria, relaxed with GGA+U gives the calculated PXRD pattern in this record (Cu Kα (weighted mean of Kα1 and Kα2)).
Peak positions follow from Bragg's law for the DFT cell and can differ from measured ones.

Structure:
```
Li4Ti3Fe2Cu3O16
1.0
5.870 0.000 0.000
2.900 5.115 0.000
0.114 0.043 9.613
Li Ti Fe Cu O
4 3 2 3 16
Direct
0.000 0.000 0.000
0.001 0.987 0.504
0.325 0.316 0.899
0.655 0.656 0.404
0.133 0.652 0.216
0.646 0.180 0.230
0.821 0.811 0.725
0.327 0.319 0.502
0.653 0.652 0.997
0.171 0.149 0.220
0.332 0.816 0.719
0.822 0.325 0.719
0.031 0.475 0.349
0.151 0.656 0.606
0.158 0.151 0.607
0.320 0.814 0.107
0.336 0.325 0.110
0.477 0.471 0.343
0.483 0.025 0.350
0.512 0.505 0.845
0.517 0.950 0.848
0.660 0.653 0.612
0.665 0.142 0.606
0.826 0.316 0.107
0.829 0.821 0.107
0.957 0.512 0.848
0.993 0.983 0.316
0.995 0.991 0.811
```

Peak list (10 most intense, 2θ = 5–70°, low angle first)
d = 4.807 Å, 2θ 18.46, I 1000; d = 4.516 Å, 2θ 19.66, I 977; d = 4.466 Å, 2θ 19.88, I 339; d = 3.512 Å, 2θ 25.36, I 318; d = 2.724 Å, 2θ 32.89, I 341; d = 2.519 Å, 2θ 35.65, I 593; d = 2.472 Å, 2θ 36.35, I 422; d = 2.462 Å, 2θ 36.50, I 295; d = 2.003 Å, 2θ 45.27, I 480; d = 1.541 Å, 2θ 60.02, I 376